[1]
# Li5Fe8B8O24
Simulated PXRD pattern, CuKα. Input: a DFT-relaxed cell (PBE+U, the Materials Project).
Neutral-atom scattering factors, no anomalous dispersion.

The 6 most intense peaks (2θ from 10° to 80°), sorted by position:
- 19.56 deg, I 45.3
- 21.48 deg, I 100.0
- 26.07 deg, I 46.4
- 26.50 deg, I 32.2
- 34.07 deg, I 44.3
- 35.40 deg, I 72.2

Cell and atoms:
```
Li5Fe8B8O24
1.0
5.258 0.000 0.000
0.063 9.101 0.000
2.539 4.406 10.141
Li Fe B O
5 8 8 24
direct
0.000 0.000 0.000
0.041 0.026 0.263
0.270 0.297 0.746
0.497 0.496 0.016
0.760 0.791 0.757
0.049 0.383 0.232
0.257 0.600 0.469
0.281 0.977 0.724
0.494 0.177 0.985
0.561 0.869 0.229
0.753 0.105 0.474
0.785 0.468 0.729
0.997 0.685 0.982
0.008 0.352 0.970
0.052 0.723 0.223
0.261 0.931 0.475
0.285 0.636 0.728
0.507 0.850 0.970
0.541 0.212 0.227
0.749 0.427 0.485
0.794 0.143 0.725
0.013 0.961 0.457
0.044 0.141 0.739
0.112 0.455 0.012
0.131 0.221 0.961
0.136 0.747 0.759
0.167 0.525 0.692
0.265 0.878 0.938
0.271 0.690 0.279
0.386 0.809 0.447
0.391 0.024 0.520
0.430 0.352 0.207
0.434 0.096 0.194
0.489 0.440 0.492
0.545 0.626 0.733
0.621 0.952 0.013
0.632 0.254 0.758
0.635 0.723 0.954
0.690 0.036 0.683
0.766 0.381 0.929
0.775 0.182 0.273
0.883 0.319 0.441
0.887 0.519 0.530
0.947 0.869 0.204
0.953 0.614 0.185
```



[2]
# LuCuMo2O8
Simulated PXRD pattern, CuKα. Input: a DFT-relaxed cell (PBE+U, the Materials Project).
Neutral-atom scattering factors, no anomalous dispersion.

The 6 most intense peaks (2θ from 10° to 80°), sorted by position:
- 23.68 deg, I 44.8
- 29.34 deg, I 100.0
- 29.86 deg, I 95.2
- 35.39 deg, I 56.7
- 50.23 deg, I 28.1
- 52.25 deg, I 22.4

Cell and atoms:
```
LuCuMo2O8
1.0
4.891 -5.869 0.000
4.891 5.869 0.000
-0.118 0.000 5.065
Lu Cu Mo O
2 2 4 16
direct
0.158 0.842 0.750
0.842 0.158 0.250
0.339 0.661 0.250
0.661 0.339 0.750
0.172 0.348 0.744
0.348 0.172 0.244
0.652 0.828 0.756
0.828 0.652 0.256
0.055 0.686 0.394
0.093 0.195 0.048
0.195 0.093 0.548
0.196 0.569 0.898
0.303 0.412 0.431
0.314 0.945 0.106
0.412 0.303 0.931
0.431 0.804 0.602
0.569 0.196 0.398
0.588 0.697 0.069
0.686 0.055 0.894
0.697 0.588 0.569
0.804 0.431 0.102
0.805 0.907 0.452
0.907 0.805 0.952
0.945 0.314 0.606
```